# 1
Diffraction record for Th2Cu2Pd. The powder diffractogram is computed, not measured: it uses a DFT-relaxed cell (GGA-PBE, Alexandria) and Cu Kα (λ = 1.5418 Å).

Structural model:
```
data_Th2Cu2Pd
_chemical_formula_sum 'Th8 Cu8 Pd4'
_cell_length_a 7.185
_cell_length_b 7.185
_cell_length_c 8.257
_cell_angle_alpha 90.00
_cell_angle_beta 90.00
_cell_angle_gamma 90.00
_space_group_name_H-M_alt 'P 4/m n c'
_space_group_IT_number 128
_space_group_name_Hall '-P 4 2n'
loop_
_atom_site_label
_atom_site_type_symbol
_atom_site_fract_x
_atom_site_fract_y
_atom_site_fract_z
Th1 Th 0.177 0.323 0.000
Cu1 Cu 0.123 0.623 0.250
Pd1 Pd 0.000 0.000 0.249
```

Peak list (8 most intense, 2θ from 15° to 90°, most intense first)
2theta  Rel. int.  hkl
35.39  100  2 1 2
33.05  46  2 0 2
27.78  31  2 1 0
39.67  26  3 1 0
57.39  22  4 1 2
43.86  17  0 0 4
60.61  15  3 1 4
58.95  14  3 3 2



# 2
Diffraction record for Pa2TcSnC. The powder diffractogram is computed, not measured: it uses a DFT-relaxed cell (GGA-PBE, Alexandria) and Cu Kα (λ = 1.5418 Å).

Structural model:
```
data_Pa2TcSnC
_chemical_formula_sum 'Pa4 Tc2 Sn2 C2'
_cell_length_a 7.561
_cell_length_b 3.611
_cell_length_c 8.208
_cell_angle_alpha 90.00
_cell_angle_beta 110.58
_cell_angle_gamma 90.00
_space_group_name_H-M_alt 'P 1 21/m 1'
_space_group_IT_number 11
_space_group_name_Hall '-P 2yb'
loop_
_atom_site_label
_atom_site_type_symbol
_atom_site_fract_x
_atom_site_fract_y
_atom_site_fract_z
Pa1 Pa 0.152 0.250 0.399
Pa2 Pa 0.206 0.750 0.001
Tc1 Tc 0.198 0.250 0.716
Sn1 Sn 0.476 0.750 0.713
C1 C 0.025 0.750 0.179
```

Peak list (8 most intense, 2θ from 15° to 90°, most intense first)
2theta  Rel. int.  hkl
31.83  100  1 1 1
34.46  77  2 1 -1
27.62  64  2 0 -2
28.31  56  1 1 -1
38.14  46  3 0 0
58.53  37  3 1 2
41.42  35  1 1 -3
35.03  33  0 0 3



# 3
Diffraction record for Ba3In3Ag2. The powder diffractogram is computed, not measured: it uses a DFT-relaxed cell (GGA-PBE, Alexandria) and Cu Kα (λ = 1.5418 Å).

Structural model:
```
data_Ba3In3Ag2
_chemical_formula_sum 'Ba3 In3 Ag2'
_cell_length_a 4.705
_cell_length_b 6.110
_cell_length_c 10.083
_cell_angle_alpha 79.41
_cell_angle_beta 76.51
_cell_angle_gamma 89.96
_space_group_name_H-M_alt 'P -1'
_space_group_IT_number 2
_space_group_name_Hall '-P 1'
loop_
_atom_site_label
_atom_site_type_symbol
_atom_site_fract_x
_atom_site_fract_y
_atom_site_fract_z
Ba1 Ba 0.000 0.000 0.000
Ba2 Ba 0.152 0.575 0.696
In1 In 0.357 0.918 0.287
In2 In 0.500 0.500 0.000
Ag1 Ag 0.226 0.108 0.547
```

Peak list (8 most intense, 2θ from 15° to 90°, most intense first)
2theta  Rel. int.  hkl
29.22  100  1 -1 2
31.51  70  1 1 3
38.25  42  2 0 1
26.35  29  1 1 2
29.46  26  0 2 1
29.78  25  0 2 0
51.15  22  1 3 3
27.80  21  0 0 3



# 4
Diffraction record for Ba2ScPaO6. The powder diffractogram is computed, not measured: it uses a DFT-relaxed cell (GGA-PBE, Alexandria) and Cu Kα (λ = 1.5418 Å).

Structural model:
```
data_Ba2ScPaO6
_chemical_formula_sum 'Ba8 Sc4 Pa4 O24'
_cell_length_a 8.629
_cell_length_b 8.629
_cell_length_c 8.629
_cell_angle_alpha 90.00
_cell_angle_beta 90.00
_cell_angle_gamma 90.00
_space_group_name_H-M_alt 'F m -3 m'
_space_group_IT_number 225
_space_group_name_Hall '-F 4 2 3'
loop_
_atom_site_label
_atom_site_type_symbol
_atom_site_fract_x
_atom_site_fract_y
_atom_site_fract_z
Ba1 Ba 0.250 0.250 0.250
Sc1 Sc 0.000 0.000 0.000
Pa1 Pa 0.000 0.000 0.500
O1 O 0.000 0.000 0.247
```

Peak list (8 most intense, 2θ from 15° to 90°, most intense first)
2theta  Rel. int.  hkl
29.28  100  2 2 0
51.91  41  4 2 2
41.88  30  4 0 0
17.80  27  1 1 1
83.92  22  6 4 2
60.72  19  4 4 0
68.81  18  6 2 0
34.47  17  3 1 1



# 5
Diffraction record for K2NpTlSe4. The powder diffractogram is computed, not measured: it uses a DFT-relaxed cell (GGA-PBE, Alexandria) and Cu Kα (λ = 1.5418 Å).

Structural model:
```
data_K2NpTlSe4
_chemical_formula_sum 'K2 Np1 Tl1 Se4'
_cell_length_a 7.876
_cell_length_b 4.316
_cell_length_c 7.943
_cell_angle_alpha 90.00
_cell_angle_beta 108.35
_cell_angle_gamma 90.00
_space_group_name_H-M_alt 'P 1 2/m 1'
_space_group_IT_number 10
_space_group_name_Hall '-P 2y'
loop_
_atom_site_label
_atom_site_type_symbol
_atom_site_fract_x
_atom_site_fract_y
_atom_site_fract_z
K1 K 0.000 0.000 0.000
K2 K 0.000 0.500 0.500
Np1 Np 0.500 0.000 0.500
Tl1 Tl 0.500 0.500 0.000
Se1 Se 0.295 0.000 0.714
Se2 Se 0.298 0.500 0.294
```

Peak list (8 most intense, 2θ from 15° to 90°, most intense first)
2theta  Rel. int.  hkl
28.27  100  1 1 1
27.82  46  2 0 -2
23.77  34  0 1 1
39.95  33  1 1 -3
40.21  31  3 1 -1
51.05  29  2 2 -2
36.52  22  2 1 1
41.86  18  0 2 0



# 6
Diffraction record for CdN. The powder diffractogram is computed, not measured: it uses a DFT-relaxed cell (GGA-PBE, Alexandria) and Cu Kα (λ = 1.5418 Å).

Structural model:
```
data_CdN
_chemical_formula_sum 'Cd4 N4'
_cell_length_a 3.043
_cell_length_b 5.016
_cell_length_c 18.363
_cell_angle_alpha 90.00
_cell_angle_beta 90.00
_cell_angle_gamma 90.00
_space_group_name_H-M_alt 'I m m m'
_space_group_IT_number 71
_space_group_name_Hall '-I 2 2'
loop_
_atom_site_label
_atom_site_type_symbol
_atom_site_fract_x
_atom_site_fract_y
_atom_site_fract_z
Cd1 Cd 0.000 0.000 0.249
N1 N 0.000 0.000 0.470
```

Peak list (8 most intense, 2θ from 15° to 90°, most intense first)
2theta  Rel. int.  hkl
19.34  100  0 0 4
35.86  77  0 2 0
39.83  60  1 1 4
34.48  48  1 1 0
45.78  31  1 1 6
41.01  28  0 2 4
29.18  27  0 0 6
37.16  25  0 2 2



# 7
Diffraction record for Pr2Ni3Sn2. The powder diffractogram is computed, not measured: it uses a DFT-relaxed cell (GGA-PBE, Alexandria) and Cu Kα (λ = 1.5418 Å).

Structural model:
```
data_Pr2Ni3Sn2
_chemical_formula_sum 'Pr8 Ni12 Sn8'
_cell_length_a 8.536
_cell_length_b 8.536
_cell_length_c 8.536
_cell_angle_alpha 90.00
_cell_angle_beta 90.00
_cell_angle_gamma 90.00
_space_group_name_H-M_alt 'I 21 3'
_space_group_IT_number 199
_space_group_name_Hall 'I 2b 2c 3'
loop_
_atom_site_label
_atom_site_type_symbol
_atom_site_fract_x
_atom_site_fract_y
_atom_site_fract_z
Pr1 Pr 0.248 0.252 0.748
Ni1 Ni 0.000 0.250 0.041
Sn1 Sn 0.034 0.466 0.534
```

Peak list (8 most intense, 2θ from 15° to 90°, most intense first)
2theta  Rel. int.  hkl
29.60  100  2 2 0
42.36  40  4 0 0
52.52  34  4 2 2
39.50  33  3 1 2
61.45  19  4 4 0
36.46  16  2 2 2
85.04  11  6 4 2
33.19  11  3 1 0



# 8
Diffraction record for Pt2C. The powder diffractogram is computed, not measured: it uses a DFT-relaxed cell (GGA-PBE, Alexandria) and Cu Kα (λ = 1.5418 Å).

Structural model:
```
data_Pt2C
_chemical_formula_sum 'Pt6 C3'
_cell_length_a 3.0080
_cell_length_b 3.0080
_cell_length_c 14.8654
_cell_angle_alpha 90.00
_cell_angle_beta 90.00
_cell_angle_gamma 120.00
_space_group_name_H-M_alt 'R 3 m'
_space_group_IT_number 160
_space_group_name_Hall 'R 3 -2"'
loop_
_atom_site_label
_atom_site_type_symbol
_atom_site_fract_x
_atom_site_fract_y
_atom_site_fract_z
Pt1 Pt 0.0000 0.0000 0.0000
Pt2 Pt 0.0000 0.0000 0.1768
C1 C 0.0000 0.0000 0.7533
```

Peak list (8 most intense, 2θ from 15° to 90°, most intense first)
2theta  Rel. int.  hkl
34.97  100  1 0 1
46.34  59  0 1 5
36.26  39  0 0 6
42.37  33  1 0 4
73.69  31  1 1 6
61.67  30  1 1 0
36.55  24  0 1 2
55.86  21  1 0 7